This entry pairs a crystal structure of K3SbCl6 with its calculated X-ray diffraction stick pattern. Radiation: Cu Kα (λ = 1.5418 Å). Structure: a cell relaxed with PBE.
Peak positions follow from Bragg's law for the DFT cell and can differ from measured ones.

Principal peaks in the range 2θ = 10–90°, by angle:
Position (°2θ)  d (Å)  I/Imax
13.62  6.502  48
15.74  5.631  66
22.33  3.982  71
27.43  3.251  18
31.78  2.816  100
35.65  2.518  31
39.19  2.299  31
45.56  1.991  65
56.62  1.626  21
61.63  1.505  17
75.50  1.259  24
84.24  1.149  18

Structural model:
Cell lengths 11.263, 11.263, 11.263 Å; angles 90.00, 90.00, 90.00 degrees
Space group Fm-3m (No. 225)
Inequivalent atoms, fractional coordinates:
K 0.000 0.000 0.000 [4 per cell]
K 0.250 0.250 0.250 [8 per cell]
Sb 0.000 0.000 0.500 [4 per cell]
Cl 0.000 0.000 0.264 [24 per cell]

***

This entry pairs a crystal structure of KSbCl6 with its calculated X-ray diffraction stick pattern. Radiation: Cu Kα (λ = 1.5418 Å). Structure: a cell relaxed with PBE.
Peak positions follow from Bragg's law for the DFT cell and can differ from measured ones.

Principal peaks in the range 2θ = 10–90°, by angle:
Position (°2θ)  d (Å)  I/Imax
14.54  6.092  53
14.75  6.007  53
16.25  5.453  100
17.56  5.051  90
18.51  4.793  38
25.50  3.493  31
30.96  2.888  49
31.81  2.814  43
32.12  2.787  42
41.56  2.173  36
42.05  2.149  27
48.21  1.888  30

Structural model:
Cell lengths 12.272, 6.630, 12.445 Å; angles 90.00, 101.75, 90.00 degrees
Space group C2/c (No. 15)
Inequivalent atoms, fractional coordinates:
K 0.000 0.112 0.250 [4 per cell]
Sb 0.250 0.250 0.000 [4 per cell]
Cl 0.078 0.378 0.892 [8 per cell]
Cl 0.151 0.046 0.540 [8 per cell]
Cl 0.213 0.413 0.162 [8 per cell]

***

This entry pairs a crystal structure of K3ScCl6 with its calculated X-ray diffraction stick pattern. Radiation: Cu Kα (λ = 1.5418 Å). Structure: a cell relaxed with PBE.
Peak positions follow from Bragg's law for the DFT cell and can differ from measured ones.

Principal peaks in the range 2θ = 10–90°, by angle:
Position (°2θ)  d (Å)  I/Imax
14.29  6.200  48
16.67  5.317  27
23.54  3.779  31
24.06  3.700  50
29.76  3.002  31
30.66  2.916  47
31.10  2.875  38
32.03  2.794  58
33.71  2.659  100
34.09  2.630  35
36.70  2.449  35
49.24  1.850  27

Structural model:
Cell lengths 13.025, 7.675, 12.675 Å; angles 90.00, 109.95, 90.00 degrees
Space group P2_1/c (No. 14)
Inequivalent atoms, fractional coordinates:
K 0.104 0.005 0.370 [4 per cell]
K 0.310 0.557 0.272 [4 per cell]
K 0.322 0.056 0.121 [4 per cell]
Sc 0.000 0.000 0.000 [2 per cell]
Sc 0.500 0.000 0.500 [2 per cell]
Cl 0.102 0.225 0.592 [4 per cell]
Cl 0.120 0.524 0.387 [4 per cell]
Cl 0.127 0.682 0.653 [4 per cell]
Cl 0.348 0.194 0.385 [4 per cell]
Cl 0.356 0.714 0.001 [4 per cell]
Cl 0.491 0.138 0.678 [4 per cell]